This entry pairs a crystal structure of TbGd2Co2B2O3 with its computed PXRD pattern. Radiation: Cu Kα (weighted mean of Kα1 and Kα2). Structure: a cell relaxed with PBE+U.

Most intense lines, 10° ≤ 2θ ≤ 90°, in order of falling intensity:
two_theta, Rel. int., hkl
28.9, 100.0, 1 0 3
53.6, 53.0, 2 0 0
33.0, 39.0, 0 0 8
45.1, 34.4, 1 1 6
37.2, 29.8, 1 1 0
33.3, 28.7, 1 0 5
79.2, 25.2, 2 2 0
62.0, 24.5, 2 1 3
64.4, 23.1, 2 0 8
38.1, 20.3, 1 1 2
40.8, 19.2, 1 1 4
72.4, 15.1, 1 1 14

Cell and atoms:
Cell: 3.4220 3.4220 21.7059 Å, 90.00 90.00 90.00°
Space group I4/mmm (No. 139)
Symmetry-distinct sites (fractional):
1 Tb 0.0000 0.0000 0.0000 (multiplicity 2)
2 Gd 0.0000 0.0000 0.3630 (multiplicity 4)
3 Co 0.0000 0.5000 0.2500 (multiplicity 4)
4 B 0.0000 0.0000 0.2111 (multiplicity 4)
5 O 0.0000 0.0000 0.1026 (multiplicity 4)
6 O 0.0000 0.0000 0.5000 (multiplicity 2)